Entry 1:
Diffraction record for Cs3YGa2O6. The powder diffractogram is computed, not measured: it uses DFT lattice parameters and positions (GGA-PBE) and a wavelength of 1.5418 Å.

Most intense lines, 10° ≤ 2θ ≤ 80°, by angle:
d (Å)	I/Imax
3.164	100
3.132	100
2.226	40
1.814	39
1.808	20
1.654	16
1.566	18
1.404	17

a b c (Å): 6.264 6.264 7.788
angles (deg): 90.00 90.00 120.00
Sites, in units of the cell vectors:
Cs (0.000, 0.000, 0.000)
Cs (0.333, 0.667, 0.760)
Cs (0.667, 0.333, 0.240)
Y (0.000, 0.000, 0.500)
Ga (0.333, 0.667, 0.323)
Ga (0.667, 0.333, 0.677)
O (0.168, 0.336, 0.317)
O (0.168, 0.832, 0.317)
O (0.336, 0.168, 0.683)
O (0.664, 0.832, 0.317)
O (0.832, 0.168, 0.683)
O (0.832, 0.664, 0.683)

Entry 2:
Diffraction record for Tb2Au5F21. The powder diffractogram is computed, not measured: it uses DFT lattice parameters and positions (GGA-PBE) and a wavelength of 1.5418 Å.

Most intense lines, 10° ≤ 2θ ≤ 80°, by angle:
d (Å)	I/Imax
4.037	37
3.988	36
3.725	100
3.693	31
3.644	37
3.590	30
3.392	39
3.343	58

a b c (Å): 8.104 9.239 12.128
angles (deg): 89.12 89.14 89.18
Sites, in units of the cell vectors:
Tb (0.164, 0.184, 0.001)
Tb (0.169, 0.316, 0.496)
Tb (0.831, 0.684, 0.504)
Tb (0.836, 0.816, 0.999)
Au (0.061, 0.510, 0.792)
Au (0.062, 0.986, 0.705)
Au (0.328, 0.720, 0.405)
Au (0.335, 0.778, 0.093)
Au (0.484, 0.749, 0.753)
Au (0.516, 0.251, 0.247)
Au (0.665, 0.222, 0.907)
Au (0.672, 0.280, 0.595)
Au (0.938, 0.014, 0.295)
Au (0.939, 0.490, 0.208)
F (0.000, 0.000, 0.000)
F (0.000, 0.500, 0.500)
F (0.022, 0.129, 0.418)
F (0.047, 0.387, 0.086)
F (0.078, 0.121, 0.189)
F (0.084, 0.383, 0.311)
F (0.086, 0.736, 0.390)
F (0.094, 0.748, 0.092)
F (0.164, 0.102, 0.818)
F (0.184, 0.407, 0.675)
F (0.200, 0.094, 0.598)
F (0.200, 0.400, 0.896)
F (0.308, 0.728, 0.862)
F (0.317, 0.757, 0.639)
F (0.323, 0.979, 0.031)
F (0.327, 0.513, 0.455)
F (0.337, 0.917, 0.348)
F (0.343, 0.224, 0.363)
F (0.354, 0.261, 0.126)
F (0.354, 0.588, 0.162)
F (0.424, 0.199, 0.903)
F (0.430, 0.285, 0.580)
F (0.570, 0.715, 0.420)
F (0.576, 0.801, 0.097)
F (0.646, 0.412, 0.838)
F (0.646, 0.739, 0.874)
F (0.657, 0.776, 0.637)
F (0.663, 0.083, 0.652)
F (0.673, 0.487, 0.545)
F (0.677, 0.021, 0.969)
F (0.683, 0.243, 0.361)
F (0.692, 0.272, 0.138)
F (0.800, 0.600, 0.104)
F (0.800, 0.906, 0.402)
F (0.816, 0.593, 0.325)
F (0.836, 0.898, 0.182)
F (0.906, 0.252, 0.908)
F (0.914, 0.264, 0.610)
F (0.916, 0.617, 0.689)
F (0.922, 0.879, 0.811)
F (0.953, 0.613, 0.914)
F (0.978, 0.871, 0.582)

Entry 3:
Diffraction record for Cs3Na2PmBr9. The powder diffractogram is computed, not measured: it uses DFT lattice parameters and positions (GGA-PBE) and a wavelength of 1.5418 Å.

Most intense lines, 10° ≤ 2θ ≤ 80°, by angle:
d (Å)	I/Imax
4.162	20
3.449	26
3.318	72
2.900	100
2.081	38
2.022	35
1.745	21
1.313	25

a b c (Å): 8.089 8.089 10.348
angles (deg): 90.00 90.00 120.00
Sites, in units of the cell vectors:
Cs (0.000, 0.000, 0.000)
Cs (0.333, 0.667, 0.676)
Cs (0.667, 0.333, 0.324)
Na (0.333, 0.667, 0.168)
Na (0.667, 0.333, 0.832)
Pm (0.000, 0.000, 0.500)
Br (0.000, 0.500, 0.000)
Br (0.166, 0.332, 0.339)
Br (0.166, 0.834, 0.339)
Br (0.332, 0.166, 0.661)
Br (0.500, 0.000, 0.000)
Br (0.500, 0.500, 0.000)
Br (0.668, 0.834, 0.339)
Br (0.834, 0.166, 0.661)
Br (0.834, 0.668, 0.661)

Entry 4:
Diffraction record for NbHO3. The powder diffractogram is computed, not measured: it uses DFT lattice parameters and positions (GGA-PBE) and a wavelength of 1.5418 Å.

Most intense lines, 10° ≤ 2θ ≤ 80°, by angle:
d (Å)	I/Imax
7.216	100
6.549	74
6.044	51
5.336	42
4.223	52
3.366	35
3.036	31
2.836	32

a b c (Å): 6.360 6.883 7.225
angles (deg): 89.85 87.26 72.08
Sites, in units of the cell vectors:
Nb (0.000, 0.000, 0.000)
Nb (0.094, 0.475, 0.796)
Nb (0.252, 0.152, 0.392)
Nb (0.575, 0.957, 0.797)
H (0.259, 0.542, 0.464)
H (0.408, 0.300, 0.002)
H (0.648, 0.564, 0.733)
H (0.914, 0.114, 0.645)
O (0.036, 0.293, 0.571)
O (0.076, 0.680, 0.963)
O (0.117, 0.992, 0.244)
O (0.230, 0.587, 0.595)
O (0.311, 0.917, 0.875)
O (0.324, 0.339, 0.254)
O (0.403, 0.285, 0.865)
O (0.501, 0.021, 0.539)
O (0.701, 0.984, 0.040)
O (0.742, 0.648, 0.759)
O (0.878, 0.009, 0.724)
O (0.977, 0.277, 0.950)